(1)
# La2MgCd
Simulated X-ray powder pattern, a wavelength of 1.5418 Å. Input: a cell relaxed with GGA-PBE.
Peak positions follow from Bragg's law for the DFT cell and can differ from measured ones.

Crystal structure
```
data_La2MgCd
_symmetry_space_group_name_H-M 'P 1'
_symmetry_Int_Tables_number 1
_cell_length_a 7.889
_cell_length_b 7.889
_cell_length_c 7.889
_cell_angle_alpha 90.00
_cell_angle_beta 90.00
_cell_angle_gamma 90.00
loop_
_symmetry_equiv_pos_as_xyz
'x,y,z'
loop_
_atom_site_label
_atom_site_type_symbol
_atom_site_fract_x
_atom_site_fract_y
_atom_site_fract_z
La1 La 0.250 0.250 0.250
La2 La 0.250 0.250 0.750
La3 La 0.250 0.750 0.250
La4 La 0.250 0.750 0.750
La5 La 0.750 0.250 0.250
La6 La 0.750 0.250 0.750
La7 La 0.750 0.750 0.250
La8 La 0.750 0.750 0.750
Mg1 Mg 0.000 0.000 0.000
Mg2 Mg 0.000 0.500 0.500
Mg3 Mg 0.500 0.000 0.500
Mg4 Mg 0.500 0.500 0.000
Cd1 Cd 0.000 0.000 0.500
Cd2 Cd 0.000 0.500 0.000
Cd3 Cd 0.500 0.000 0.000
Cd4 Cd 0.500 0.500 0.500
```

Top 6 peaks for 5 to 70 degrees two-theta, sorted by position:
| 2theta | intensity |
| --- | --- |
| 19.5 | 11 |
| 22.5 | 12 |
| 32.1 | 100 |
| 46.0 | 18 |
| 57.2 | 38 |
| 67.1 | 11 |

(2)
# LaMg6Cd
Simulated X-ray powder pattern, a wavelength of 1.5418 Å. Input: a cell relaxed with GGA-PBE.
Peak positions follow from Bragg's law for the DFT cell and can differ from measured ones.

Crystal structure
```
data_LaMg6Cd
_symmetry_space_group_name_H-M 'P 1'
_symmetry_Int_Tables_number 1
_cell_length_a 5.167
_cell_length_b 6.744
_cell_length_c 11.673
_cell_angle_alpha 90.00
_cell_angle_beta 90.00
_cell_angle_gamma 90.00
loop_
_symmetry_equiv_pos_as_xyz
'x,y,z'
loop_
_atom_site_label
_atom_site_type_symbol
_atom_site_fract_x
_atom_site_fract_y
_atom_site_fract_z
La1 La 0.000 0.000 0.000
La2 La 0.000 0.500 0.500
Mg1 Mg 0.000 0.000 0.506
Mg2 Mg 0.000 0.245 0.750
Mg3 Mg 0.000 0.255 0.250
Mg4 Mg 0.000 0.500 0.006
Mg5 Mg 0.000 0.745 0.250
Mg6 Mg 0.000 0.755 0.750
Mg7 Mg 0.500 0.000 0.336
Mg8 Mg 0.500 0.238 0.591
Mg9 Mg 0.500 0.262 0.091
Mg10 Mg 0.500 0.500 0.836
Mg11 Mg 0.500 0.738 0.091
Mg12 Mg 0.500 0.762 0.591
Cd1 Cd 0.500 0.000 0.829
Cd2 Cd 0.500 0.500 0.329
```

Top 6 peaks for 5 to 70 degrees two-theta, sorted by position:
| 2theta | intensity |
| --- | --- |
| 15.2 | 70 |
| 23.0 | 45 |
| 30.6 | 25 |
| 31.7 | 29 |
| 34.7 | 23 |
| 35.3 | 100 |

(3)
# La2CdNi2
Simulated X-ray powder pattern, a wavelength of 1.5418 Å. Input: a cell relaxed with GGA-PBE.
Peak positions follow from Bragg's law for the DFT cell and can differ from measured ones.

Crystal structure
```
data_La2CdNi2
_symmetry_space_group_name_H-M 'P 1'
_symmetry_Int_Tables_number 1
_cell_length_a 4.046
_cell_length_b 14.864
_cell_length_c 3.868
_cell_angle_alpha 90.00
_cell_angle_beta 90.00
_cell_angle_gamma 90.00
loop_
_symmetry_equiv_pos_as_xyz
'x,y,z'
loop_
_atom_site_label
_atom_site_type_symbol
_atom_site_fract_x
_atom_site_fract_y
_atom_site_fract_z
La1 La 0.000 0.138 0.000
La2 La 0.000 0.862 0.000
La3 La 0.500 0.362 0.000
La4 La 0.500 0.638 0.000
Cd1 Cd 0.000 0.500 0.500
Cd2 Cd 0.500 0.000 0.500
Ni1 Ni 0.000 0.297 0.500
Ni2 Ni 0.000 0.703 0.500
Ni3 Ni 0.500 0.203 0.500
Ni4 Ni 0.500 0.797 0.500
```

Top 6 peaks for 5 to 70 degrees two-theta, sorted by position:
| 2theta | intensity |
| --- | --- |
| 28.5 | 40 |
| 32.6 | 100 |
| 33.4 | 76 |
| 36.9 | 32 |
| 37.5 | 37 |
| 57.0 | 32 |

(4)
# LaCd20Ni2
Simulated X-ray powder pattern, a wavelength of 1.5418 Å. Input: a cell relaxed with GGA-PBE.
Peak positions follow from Bragg's law for the DFT cell and can differ from measured ones.

Crystal structure
```
data_LaCd20Ni2
_symmetry_space_group_name_H-M 'P 1'
_symmetry_Int_Tables_number 1
_cell_length_a 11.203
_cell_length_b 11.203
_cell_length_c 11.203
_cell_angle_alpha 60.00
_cell_angle_beta 60.00
_cell_angle_gamma 60.00
loop_
_symmetry_equiv_pos_as_xyz
'x,y,z'
loop_
_atom_site_label
_atom_site_type_symbol
_atom_site_fract_x
_atom_site_fract_y
_atom_site_fract_z
La1 La 0.125 0.125 0.125
La2 La 0.875 0.875 0.875
Cd1 Cd 0.000 0.000 0.000
Cd2 Cd 0.000 0.000 0.500
Cd3 Cd 0.000 0.500 0.000
Cd4 Cd 0.056 0.324 0.324
Cd5 Cd 0.056 0.324 0.795
Cd6 Cd 0.056 0.795 0.324
Cd7 Cd 0.205 0.676 0.676
Cd8 Cd 0.205 0.676 0.944
Cd9 Cd 0.205 0.944 0.676
Cd10 Cd 0.238 0.238 0.512
Cd11 Cd 0.238 0.512 0.238
Cd12 Cd 0.238 0.512 0.512
Cd13 Cd 0.324 0.056 0.324
Cd14 Cd 0.324 0.056 0.795
Cd15 Cd 0.324 0.324 0.056
Cd16 Cd 0.324 0.324 0.795
Cd17 Cd 0.324 0.795 0.056
Cd18 Cd 0.324 0.795 0.324
Cd19 Cd 0.488 0.488 0.762
Cd20 Cd 0.488 0.762 0.488
Cd21 Cd 0.488 0.762 0.762
Cd22 Cd 0.500 0.000 0.000
Cd23 Cd 0.512 0.238 0.238
Cd24 Cd 0.512 0.238 0.512
Cd25 Cd 0.512 0.512 0.238
Cd26 Cd 0.676 0.205 0.676
Cd27 Cd 0.676 0.205 0.944
Cd28 Cd 0.676 0.676 0.205
Cd29 Cd 0.676 0.676 0.944
Cd30 Cd 0.676 0.944 0.205
Cd31 Cd 0.676 0.944 0.676
Cd32 Cd 0.762 0.488 0.488
Cd33 Cd 0.762 0.488 0.762
Cd34 Cd 0.762 0.762 0.488
Cd35 Cd 0.795 0.056 0.324
Cd36 Cd 0.795 0.324 0.056
Cd37 Cd 0.795 0.324 0.324
Cd38 Cd 0.944 0.205 0.676
Cd39 Cd 0.944 0.676 0.205
Cd40 Cd 0.944 0.676 0.676
Ni1 Ni 0.000 0.500 0.500
Ni2 Ni 0.500 0.000 0.500
Ni3 Ni 0.500 0.500 0.000
Ni4 Ni 0.500 0.500 0.500
```

Top 6 peaks for 5 to 70 degrees two-theta, sorted by position:
| 2theta | intensity |
| --- | --- |
| 33.5 | 100 |
| 35.8 | 35 |
| 37.2 | 64 |
| 37.7 | 65 |
| 40.7 | 28 |
| 66.8 | 42 |

(5)
# LaCdO3
Simulated X-ray powder pattern, a wavelength of 1.5418 Å. Input: a cell relaxed with GGA-PBE.
Peak positions follow from Bragg's law for the DFT cell and can differ from measured ones.

Crystal structure
```
data_LaCdO3
_symmetry_space_group_name_H-M 'P 1'
_symmetry_Int_Tables_number 1
_cell_length_a 4.180
_cell_length_b 4.180
_cell_length_c 4.180
_cell_angle_alpha 90.00
_cell_angle_beta 90.00
_cell_angle_gamma 90.00
loop_
_symmetry_equiv_pos_as_xyz
'x,y,z'
loop_
_atom_site_label
_atom_site_type_symbol
_atom_site_fract_x
_atom_site_fract_y
_atom_site_fract_z
La1 La 0.000 0.000 0.000
Cd1 Cd 0.500 0.500 0.500
O1 O 0.000 0.500 0.500
O2 O 0.500 0.000 0.500
O3 O 0.500 0.500 0.000
```

Top 5 peaks for 5 to 70 degrees two-theta, sorted by position:
| 2theta | intensity |
| --- | --- |
| 30.2 | 100 |
| 37.3 | 3 |
| 43.3 | 30 |
| 53.7 | 40 |
| 62.9 | 18 |

(6)
# La2CdP2O
Simulated X-ray powder pattern, a wavelength of 1.5418 Å. Input: a cell relaxed with GGA-PBE.
Peak positions follow from Bragg's law for the DFT cell and can differ from measured ones.

Crystal structure
```
data_La2CdP2O
_symmetry_space_group_name_H-M 'P 1'
_symmetry_Int_Tables_number 1
_cell_length_a 3.530
_cell_length_b 3.530
_cell_length_c 14.825
_cell_angle_alpha 90.00
_cell_angle_beta 90.00
_cell_angle_gamma 90.00
loop_
_symmetry_equiv_pos_as_xyz
'x,y,z'
loop_
_atom_site_label
_atom_site_type_symbol
_atom_site_fract_x
_atom_site_fract_y
_atom_site_fract_z
La1 La 0.000 0.000 0.142
La2 La 0.000 0.000 0.858
Cd1 Cd 0.000 0.000 0.500
P1 P 0.000 0.000 0.337
P2 P 0.000 0.000 0.663
O1 O 0.000 0.000 0.000
```

Top 6 peaks for 5 to 70 degrees two-theta, sorted by position:
| 2theta | intensity |
| --- | --- |
| 18.0 | 38 |
| 25.2 | 100 |
| 31.1 | 42 |
| 36.0 | 39 |
| 40.5 | 21 |
| 44.8 | 24 |